[1]
Simulated powder diffraction line list
Compound: Ce2Al3Au2
Radiation: Cu Kα X-rays
Structure: DFT lattice parameters and positions (PBE)
No peak broadening, texture or thermal motion is included.

Structure:
Cell: 4.420 19.080 7.277 Å, 90.00 90.00 90.00°
Space group Cmcm (No. 63)
Unique sites:
Ce1 0.000 0.052 0.250 (multiplicity 4)
Ce2 0.000 0.157 0.750 (multiplicity 4)
Al1 0.000 0.224 0.250 (multiplicity 4)
Al2 0.000 0.440 0.074 (multiplicity 8)
Au1 0.000 0.313 0.550 (multiplicity 8)

Most intense lines, 2θ = 15–90°, in order of rising 2θ:
- 2θ = 24.53°, I 54, hkl 1 3 0
- 2θ = 32.21°, I 100, hkl 1 1 2
- 2θ = 33.38°, I 90, hkl 1 5 1
- 2θ = 34.92°, I 75, hkl 1 3 2
- 2θ = 37.72°, I 39, hkl 0 8 0
- 2θ = 39.85°, I 47, hkl 1 5 2
- 2θ = 40.83°, I 59, hkl 2 0 0
- 2θ = 41.78°, I 64, hkl 0 4 3
- 2θ = 54.24°, I 43, hkl 0 10 2
- 2θ = 59.85°, I 45, hkl 2 4 3



[2]
Simulated powder diffraction line list
Compound: Ce3Al3Au8
Radiation: Cu Kα X-rays
Structure: DFT lattice parameters and positions (PBE)
No peak broadening, texture or thermal motion is included.

Structure:
Cell: 16.397 4.656 9.046 Å, 90.00 122.59 90.00°
Space group C2/m (No. 12)
Unique sites:
Ce1 0.000 0.000 0.000 (multiplicity 2)
Ce2 0.207 0.500 0.729 (multiplicity 4)
Al1 0.000 0.000 0.500 (multiplicity 2)
Al2 0.168 0.500 0.330 (multiplicity 4)
Au1 0.009 0.500 0.340 (multiplicity 4)
Au2 0.129 0.000 0.837 (multiplicity 4)
Au3 0.143 0.000 0.434 (multiplicity 4)
Au4 0.147 0.500 0.034 (multiplicity 4)

Most intense lines, 2θ = 15–90°, in order of rising 2θ:
- 2θ = 30.24°, I 30, hkl 2 0 -3
- 2θ = 33.65°, I 94, hkl 3 1 1
- 2θ = 33.97°, I 100, hkl 5 1 -2
- 2θ = 35.47°, I 23, hkl 3 1 -3
- 2θ = 37.69°, I 33, hkl 1 1 -3
- 2θ = 37.86°, I 19, hkl 5 1 0
- 2θ = 38.68°, I 62, hkl 0 2 0
- 2θ = 39.12°, I 20, hkl 6 0 0
- 2θ = 44.66°, I 21, hkl 7 1 -3
- 2θ = 56.17°, I 17, hkl 6 2 0



[3]
Simulated powder diffraction line list
Compound: CeAl7Au3
Radiation: Cu Kα X-rays
Structure: DFT lattice parameters and positions (PBE)
No peak broadening, texture or thermal motion is included.

Structure:
Cell: 8.1668 8.1668 21.1839 Å, 90.00 90.00 120.00°
Space group R-3c (No. 167, hexagonal axes)
Unique sites:
Ce1 0.0000 0.0000 0.0000 (multiplicity 6)
Al1 0.0000 0.0000 0.2500 (multiplicity 6)
Al2 0.0110 0.2054 0.1364 (multiplicity 36)
Au1 0.0000 0.3203 0.2500 (multiplicity 18)

Most intense lines, 2θ = 15–90°, in order of rising 2θ:
- 2θ = 25.20°, I 100, hkl 1 1 3
- 2θ = 33.55°, I 32, hkl 1 1 6
- 2θ = 38.17°, I 35, hkl 3 0 0
- 2θ = 44.42°, I 32, hkl 1 1 9
- 2θ = 46.30°, I 44, hkl 2 2 3
- 2θ = 51.74°, I 12, hkl 0 0 12
- 2θ = 61.50°, I 17, hkl 4 1 3
- 2θ = 66.10°, I 27, hkl 3 0 12
- 2θ = 73.35°, I 10, hkl 4 1 9
- 2θ = 87.17°, I 9, hkl 2 5 3



[4]
Simulated powder diffraction line list
Compound: Ce6Al2Au
Radiation: Cu Kα X-rays
Structure: DFT lattice parameters and positions (PBE)
No peak broadening, texture or thermal motion is included.

Structure:
Cell: 8.8896 8.8896 2.9487 Å, 90.00 90.00 120.00°
Space group P6/mmm (No. 191)
Unique sites:
Ce1 0.0000 0.3362 0.0000 (multiplicity 6)
Al1 0.3333 0.6667 0.5000 (multiplicity 2)
Au1 0.0000 0.0000 0.5000 (multiplicity 1)

Most intense lines, 2θ = 15–90°, in order of rising 2θ:
- 2θ = 30.31°, I 14, hkl 0 0 1
- 2θ = 34.96°, I 100, hkl 3 0 0
- 2θ = 36.57°, I 67, hkl 1 1 1
- 2θ = 46.94°, I 25, hkl 3 0 1
- 2θ = 51.49°, I 25, hkl 2 2 1
- 2θ = 62.71°, I 18, hkl 3 3 0
- 2θ = 63.76°, I 27, hkl 4 1 1
- 2θ = 73.86°, I 11, hkl 6 0 0
- 2θ = 74.18°, I 22, hkl 3 0 2
- 2θ = 85.35°, I 12, hkl 5 2 1



[5]
Simulated powder diffraction line list
Compound: Ce3Al8Au3
Radiation: Cu Kα X-rays
Structure: DFT lattice parameters and positions (PBE)
No peak broadening, texture or thermal motion is included.

Structure:
Cell: 4.479 9.826 12.835 Å, 90.00 90.00 90.00°
Space group Immm (No. 71)
Unique sites:
Ce1 0.000 0.000 0.000 (multiplicity 2)
Ce2 0.000 0.000 0.302 (multiplicity 4)
Al1 0.000 0.283 0.130 (multiplicity 8)
Al2 0.000 0.367 0.336 (multiplicity 8)
Au1 0.000 0.216 0.500 (multiplicity 4)
Au2 0.000 0.500 0.000 (multiplicity 2)

Most intense lines, 2θ = 15–90°, in order of rising 2θ:
- 2θ = 27.83°, I 69, hkl 0 0 4
- 2θ = 34.25°, I 100, hkl 1 2 3
- 2θ = 34.49°, I 10, hkl 0 3 3
- 2θ = 36.58°, I 15, hkl 0 4 0
- 2θ = 36.76°, I 27, hkl 1 3 2
- 2θ = 40.27°, I 25, hkl 2 0 0
- 2θ = 42.25°, I 13, hkl 0 0 6
- 2θ = 44.67°, I 11, hkl 1 2 5
- 2θ = 57.46°, I 22, hkl 1 2 7
- 2θ = 69.35°, I 13, hkl 3 2 3



[6]
Simulated powder diffraction line list
Compound: Ce2Al2Au3
Radiation: Cu Kα X-rays
Structure: DFT lattice parameters and positions (PBE)
No peak broadening, texture or thermal motion is included.

Structure:
Cell: 4.274 19.778 7.306 Å, 90.00 90.00 90.00°
Space group Cmcm (No. 63)
Unique sites:
Ce1 0.000 0.058 0.250 (multiplicity 4)
Ce2 0.000 0.151 0.750 (multiplicity 4)
Al1 0.000 0.306 0.557 (multiplicity 8)
Au1 0.000 0.226 0.250 (multiplicity 4)
Au2 0.000 0.433 0.052 (multiplicity 8)

Most intense lines, 2θ = 15–90°, in order of rising 2θ:
- 2θ = 24.55°, I 19, hkl 1 1 1
- 2θ = 26.00°, I 28, hkl 0 2 2
- 2θ = 27.05°, I 20, hkl 0 6 0
- 2θ = 32.56°, I 100, hkl 1 1 2
- 2θ = 33.21°, I 92, hkl 1 5 1
- 2θ = 41.32°, I 21, hkl 0 4 3
- 2θ = 42.29°, I 36, hkl 2 0 0
- 2θ = 44.99°, I 26, hkl 1 3 3
- 2θ = 45.82°, I 38, hkl 1 7 2
- 2θ = 72.40°, I 21, hkl 1 5 5



[7]
Simulated powder diffraction line list
Compound: CeAlAu3
Radiation: Cu Kα X-rays
Structure: DFT lattice parameters and positions (PBE)
No peak broadening, texture or thermal motion is included.

Structure:
Cell: 5.807 12.713 5.692 Å, 90.00 90.00 90.00°
Space group Pnma (No. 62)
Unique sites:
Ce1 0.000 0.000 0.000 (multiplicity 4)
Al1 0.196 0.250 0.189 (multiplicity 4)
Au1 0.015 0.610 0.516 (multiplicity 8)
Au2 0.131 0.750 0.128 (multiplicity 4)

Most intense lines, 2θ = 15–90°, in order of rising 2θ:
- 2θ = 21.87°, I 10, hkl 1 0 1
- 2θ = 30.79°, I 23, hkl 2 0 0
- 2θ = 31.44°, I 23, hkl 0 0 2
- 2θ = 31.61°, I 9, hkl 2 1 0
- 2θ = 33.94°, I 9, hkl 2 2 0
- 2θ = 35.86°, I 100, hkl 1 4 1
- 2θ = 44.58°, I 20, hkl 2 0 2
- 2θ = 58.07°, I 17, hkl 0 8 0
- 2θ = 68.30°, I 9, hkl 1 6 3
- 2θ = 76.42°, I 11, hkl 3 4 3



[8]
Simulated powder diffraction line list
Compound: Ce2AlAu6
Radiation: Cu Kα X-rays
Structure: DFT lattice parameters and positions (PBE)
No peak broadening, texture or thermal motion is included.

Structure:
Cell: 6.3690 6.3690 5.5088 Å, 90.00 90.00 120.00°
Space group P-3m1 (No. 164)
Unique sites:
Ce1 0.3333 0.6667 0.1744 (multiplicity 2)
Al1 0.0000 0.0000 0.0000 (multiplicity 1)
Au1 0.1800 0.3601 0.6953 (multiplicity 6)

Most intense lines, 2θ = 15–90°, in order of rising 2θ:
- 2θ = 32.48°, I 43, hkl 0 0 2
- 2θ = 36.44°, I 100, hkl 2 0 1
- 2θ = 46.60°, I 18, hkl 0 2 2
- 2θ = 52.48°, I 7, hkl 0 3 1
- 2θ = 57.93°, I 22, hkl 2 2 0
- 2θ = 60.57°, I 8, hkl 2 0 3
- 2θ = 68.01°, I 18, hkl 2 2 2
- 2θ = 70.41°, I 18, hkl 0 4 1
- 2θ = 77.42°, I 9, hkl 4 0 2
- 2θ = 84.23°, I 7, hkl 2 3 2



[9]
Simulated powder diffraction line list
Compound: Ce3Al9Au2
Radiation: Cu Kα X-rays
Structure: DFT lattice parameters and positions (PBE)
No peak broadening, texture or thermal motion is included.

Structure:
Cell: 4.372 10.214 12.578 Å, 90.00 90.00 90.00°
Space group Immm (No. 71)
Unique sites:
Ce1 0.000 0.000 0.000 (multiplicity 2)
Ce2 0.000 0.000 0.312 (multiplicity 4)
Al1 0.000 0.277 0.131 (multiplicity 8)
Al2 0.000 0.371 0.336 (multiplicity 8)
Al3 0.000 0.500 0.000 (multiplicity 2)
Au1 0.000 0.215 0.500 (multiplicity 4)

Most intense lines, 2θ = 15–90°, in order of rising 2θ:
- 2θ = 21.52°, I 22, hkl 1 0 1
- 2θ = 22.12°, I 30, hkl 1 1 0
- 2θ = 22.43°, I 28, hkl 0 2 2
- 2θ = 27.78°, I 29, hkl 1 2 1
- 2θ = 33.92°, I 30, hkl 0 3 3
- 2θ = 34.45°, I 100, hkl 1 2 3
- 2θ = 35.15°, I 15, hkl 0 4 0
- 2θ = 36.34°, I 24, hkl 1 3 2
- 2θ = 41.30°, I 23, hkl 2 0 0
- 2θ = 54.47°, I 16, hkl 2 3 3



[10]
Simulated powder diffraction line list
Compound: CeAl2Ga2Au2
Radiation: Cu Kα X-rays
Structure: DFT lattice parameters and positions (PBE)
No peak broadening, texture or thermal motion is included.

Structure:
Cell: 4.4985 4.4985 24.2604 Å, 90.00 90.00 120.00°
Space group R-3m (No. 166, hexagonal axes)
Unique sites:
Ce1 0.0000 0.0000 0.0000 (multiplicity 3)
Al1 0.0000 0.0000 0.2461 (multiplicity 6)
Ga1 0.0000 0.0000 0.1354 (multiplicity 6)
Au1 0.0000 0.0000 0.4082 (multiplicity 6)

Most intense lines, 2θ = 15–90°, in order of rising 2θ:
- 2θ = 23.99°, I 35, hkl 0 1 2
- 2θ = 27.21°, I 23, hkl 1 0 4
- 2θ = 29.40°, I 90, hkl 0 1 5
- 2θ = 34.64°, I 73, hkl 1 0 7
- 2θ = 40.09°, I 100, hkl 1 1 0
- 2θ = 47.37°, I 20, hkl 0 1 11
- 2θ = 50.49°, I 21, hkl 2 0 5
- 2θ = 54.00°, I 21, hkl 0 2 7
- 2θ = 69.34°, I 19, hkl 2 1 7
- 2θ = 71.90°, I 20, hkl 1 1 15



[11]
Simulated powder diffraction line list
Compound: CeHo2AlAu4
Radiation: Cu Kα X-rays
Structure: DFT lattice parameters and positions (PBE)
No peak broadening, texture or thermal motion is included.

Structure:
Cell: 4.9418 4.9418 25.5761 Å, 90.00 90.00 120.00°
Space group R-3m (No. 166, hexagonal axes)
Unique sites:
Ce1 0.0000 0.0000 0.0000 (multiplicity 3)
Ho1 0.0000 0.0000 0.2389 (multiplicity 6)
Al1 0.0000 0.0000 0.5000 (multiplicity 3)
Au1 0.0000 0.0000 0.1219 (multiplicity 6)
Au2 0.0000 0.0000 0.3925 (multiplicity 6)

Most intense lines, 2θ = 15–90°, in order of rising 2θ:
- 2θ = 20.84°, I 14, hkl 0 0 6
- 2θ = 27.17°, I 12, hkl 0 1 5
- 2θ = 35.03°, I 79, hkl 0 1 8
- 2θ = 36.36°, I 100, hkl 1 1 0
- 2θ = 42.28°, I 14, hkl 1 1 6
- 2θ = 51.38°, I 27, hkl 2 0 8
- 2θ = 64.57°, I 27, hkl 1 2 8
- 2θ = 65.42°, I 18, hkl 3 0 0
- 2θ = 77.22°, I 12, hkl 2 2 0
- 2θ = 87.70°, I 12, hkl 3 1 8



[12]
Simulated powder diffraction line list
Compound: CeMg2AlAu4
Radiation: Cu Kα X-rays
Structure: DFT lattice parameters and positions (PBE)
No peak broadening, texture or thermal motion is included.

Structure:
Cell: 4.5653 4.5653 26.7125 Å, 90.00 90.00 120.00°
Space group R-3m (No. 166, hexagonal axes)
Unique sites:
Ce1 0.0000 0.0000 0.0000 (multiplicity 3)
Mg1 0.0000 0.0000 0.2401 (multiplicity 6)
Al1 0.0000 0.0000 0.5000 (multiplicity 3)
Au1 0.0000 0.0000 0.1323 (multiplicity 6)
Au2 0.0000 0.0000 0.3964 (multiplicity 6)

Most intense lines, 2θ = 15–90°, in order of rising 2θ:
- 2θ = 26.19°, I 74, hkl 1 0 4
- 2θ = 28.08°, I 23, hkl 0 1 5
- 2θ = 32.61°, I 42, hkl 1 0 7
- 2θ = 35.18°, I 79, hkl 0 1 8
- 2θ = 39.48°, I 100, hkl 1 1 0
- 2θ = 43.75°, I 23, hkl 0 1 11
- 2θ = 53.90°, I 24, hkl 2 0 8
- 2θ = 66.60°, I 30, hkl 1 1 15
- 2θ = 68.83°, I 23, hkl 1 2 8
- 2θ = 71.60°, I 18, hkl 3 0 0



[13]
Simulated powder diffraction line list
Compound: CeMg2AlAu2
Radiation: Cu Kα X-rays
Structure: DFT lattice parameters and positions (PBE)
No peak broadening, texture or thermal motion is included.

Structure:
Cell: 5.221 5.221 11.109 Å, 90.00 90.00 90.00°
Space group I4/mmm (No. 139)
Unique sites:
Ce1 0.000 0.000 0.000 (multiplicity 2)
Mg1 0.000 0.500 0.250 (multiplicity 4)
Al1 0.000 0.000 0.500 (multiplicity 2)
Au1 0.000 0.000 0.280 (multiplicity 4)

Most intense lines, 2θ = 15–90°, in order of rising 2θ:
- 2θ = 15.96°, I 31, hkl 0 0 2
- 2θ = 24.10°, I 100, hkl 1 1 0
- 2θ = 29.57°, I 49, hkl 1 0 3
- 2θ = 32.23°, I 24, hkl 0 0 4
- 2θ = 34.35°, I 59, hkl 2 0 0
- 2θ = 40.65°, I 32, hkl 1 1 4
- 2θ = 45.95°, I 30, hkl 2 1 3
- 2θ = 47.82°, I 32, hkl 2 0 4
- 2θ = 49.37°, I 21, hkl 2 2 0
- 2θ = 55.67°, I 21, hkl 3 1 0